Structure and simulated XRD peak list of Al3Sn (DFT lattice parameters and positions (GGA-PBE); Cu Kα).

Principal peaks in the range 2θ = 10–90°, low angle first:
Position (°2θ)  I (rel.)  hkl
20.80  64  1 0 0
29.58  56  1 1 0
36.43  100  1 1 1
42.32  49  2 0 0
47.61  32  2 1 0
52.48  24  2 1 1
61.40  33  2 2 0
73.54  40  3 1 1

Cell and atoms:
a = 4.2712 Å, b = 4.2712 Å, c = 4.2712 Å
α = 90.00°, β = 90.00°, γ = 90.00°
Element x y z (fractional)
Al 0.0000 0.0000 0.5000
Al 0.0000 0.5000 0.0000
Al 0.5000 0.0000 0.0000
Sn 0.5000 0.5000 0.5000